For ThGe2Ir2, the PBE geometry in the Materials Project gives the theoretical X-ray powder pattern in this record (Cu Kα, 1.54184 Å).

The 6 most intense peaks (2θ from 5° to 70°), most intense first:
2θ 34.50, d 2.600, I 100
2θ 33.72, d 2.658, I 65
2θ 42.27, d 2.138, I 64
2θ 55.13, d 1.666, I 33
2θ 49.58, d 1.839, I 27
2θ 67.15, d 1.394, I 22

Structure:
```
ThGe2Ir2
1.0
4.276 0.000 0.000
0.000 4.276 0.000
0.000 0.000 10.182
Th Ge Ir
2 4 4
Cartesian
1.069 1.069 2.516
3.207 3.207 7.666
1.069 1.069 6.439
1.069 3.207 0.000
3.207 1.069 0.000
3.207 3.207 3.743
1.069 1.069 8.876
1.069 3.207 5.091
3.207 1.069 5.091
3.207 3.207 1.306
```